# UCoRuPt
Computed powder diffractogram, a wavelength of 1.5418 Å. Input: DFT lattice parameters and positions (GGA-PBE).
Lines closer than 0.1° are merged.

Principal peaks in the range 10 to 80 degrees two-theta, low angle first:
2θ (°)	intensity
23.27	17.2
31.14	17.2
39.24	100.0
43.62	18.6
45.60	16.3
47.59	14.4

Structural model:
```
data_UCoRuPt
_cell_length_a 3.822
_cell_length_b 3.979
_cell_length_c 4.150
_cell_angle_alpha 90.00
_cell_angle_beta 90.00
_cell_angle_gamma 90.00
_symmetry_space_group_name_H-M 'P m m m'
_symmetry_Int_Tables_number 47
loop_
_symmetry_equiv_pos_as_xyz
'x,y,z'
'-x,-y,-z'
'-x,-y,z'
'x,y,-z'
'x,-y,-z'
'-x,y,z'
'-x,y,-z'
'x,-y,z'
loop_
_atom_site_label
_atom_site_type_symbol
_atom_site_fract_x
_atom_site_fract_y
_atom_site_fract_z
_atom_site_occupancy
U1 U 0.000 0.000 0.000 1
Co1 Co 0.500 0.000 0.500 1
Ru1 Ru 0.500 0.500 0.000 1
Pt1 Pt 0.000 0.500 0.500 1
```